Starting from DFT lattice parameters and positions (PBE), the X-ray diffraction stick pattern of TbDy4In2 was simulated for Cu Kα, 1.54184 Å.
No peak broadening, texture or thermal motion is included.

Cell and atoms:
Cell lengths 9.0402, 9.0402, 5.3176 Å; angles 90.00, 90.00, 90.00 degrees
Positions (direct):
Tb 0.0000 0.0000 0.0000
Tb 0.5000 0.5000 0.5000
Dy 0.0802 0.3341 0.5000
Dy 0.1659 0.5802 0.0000
Dy 0.3341 0.0802 0.5000
Dy 0.4198 0.8341 0.0000
Dy 0.5802 0.1659 0.0000
Dy 0.6659 0.9198 0.5000
Dy 0.8341 0.4198 0.0000
Dy 0.9198 0.6659 0.5000
In 0.2500 0.2500 0.0000
In 0.2500 0.7500 0.5000
In 0.7500 0.2500 0.5000
In 0.7500 0.7500 0.0000

Principal peaks in the range 10° ≤ 2θ ≤ 90°, by angle:
2θ 27.72, I = 1000; 2θ 31.29, I = 461; 2θ 32.69, I = 498; 2θ 33.71, I = 550; 2θ 35.66, I = 932; 2θ 46.65, I = 307



Starting from DFT lattice parameters and positions (PBE), the X-ray diffraction stick pattern of ScCu2Pd3 was simulated for Cu Kα, 1.54184 Å.
No peak broadening, texture or thermal motion is included.

Cell and atoms:
Cell lengths 8.0665, 8.0665, 8.7724 Å; angles 116.70, 116.70, 22.23 degrees
Positions (direct):
Sc 0.1122 0.1122 0.2461
Sc 0.8878 0.8878 0.7539
Cu 0.1868 0.1868 0.9847
Cu 0.4442 0.4442 0.0603
Cu 0.5558 0.5558 0.9397
Cu 0.8132 0.8132 0.0153
Pd 0.0449 0.0449 0.6839
Pd 0.2482 0.2482 0.7484
Pd 0.3833 0.3833 0.5053
Pd 0.6167 0.6167 0.4947
Pd 0.7518 0.7518 0.2516
Pd 0.9551 0.9551 0.3161

Principal peaks in the range 10° ≤ 2θ ≤ 90°, by angle:
2θ 12.50, I = 320; 2θ 25.16, I = 296; 2θ 39.33, I = 1000; 2θ 40.79, I = 315; 2θ 41.58, I = 619; 2θ 43.54, I = 367



Starting from DFT lattice parameters and positions (PBE), the X-ray diffraction stick pattern of Tl7Hg12As was simulated for Cu Kα, 1.54184 Å.
No peak broadening, texture or thermal motion is included.

Cell and atoms:
Cell lengths 8.7909, 8.7909, 8.7909 Å; angles 103.49, 103.49, 103.49 degrees
Positions (direct):
Tl 0.0000 0.0000 0.0000
Tl 0.1705 0.4359 0.5406
Tl 0.4359 0.5406 0.1705
Tl 0.4594 0.8295 0.5641
Tl 0.5406 0.1705 0.4359
Tl 0.5641 0.4594 0.8295
Tl 0.8295 0.5641 0.4594
Hg 0.0392 0.4344 0.1574
Hg 0.1487 0.2784 0.8254
Hg 0.1574 0.0392 0.4344
Hg 0.1746 0.8513 0.7216
Hg 0.2784 0.8254 0.1487
Hg 0.4344 0.1574 0.0392
Hg 0.5656 0.8426 0.9608
Hg 0.7216 0.1746 0.8513
Hg 0.8254 0.1487 0.2784
Hg 0.8426 0.9608 0.5656
Hg 0.8513 0.7216 0.1746
Hg 0.9608 0.5656 0.8426
As 0.5000 0.5000 0.5000

Principal peaks in the range 10° ≤ 2θ ≤ 90°, by angle:
2θ 27.31, I = 387; 2θ 31.41, I = 258; 2θ 33.00, I = 504; 2θ 34.37, I = 1000; 2θ 35.56, I = 417; 2θ 53.91, I = 229



Starting from DFT lattice parameters and positions (PBE), the X-ray diffraction stick pattern of Dy3Y5Sc was simulated for Cu Kα, 1.54184 Å.
No peak broadening, texture or thermal motion is included.

Cell and atoms:
Cell lengths 9.8103, 9.8103, 9.8103 Å; angles 128.18, 128.18, 76.34 degrees
Positions (direct):
Dy 0.1186 0.6186 0.7371
Dy 0.2500 0.2500 0.0000
Dy 0.3814 0.1186 0.5000
Dy 0.6186 0.8814 0.5000
Dy 0.7500 0.7500 0.0000
Dy 0.8814 0.3814 0.2629
Y 0.0000 0.0000 0.0000
Y 0.0636 0.1565 0.5000
Y 0.1565 0.6565 0.0929
Y 0.3435 0.4364 0.5000
Y 0.4364 0.9364 0.0929
Y 0.5000 0.5000 0.0000
Y 0.5636 0.0636 0.9071
Y 0.6565 0.5636 0.5000
Y 0.8435 0.3435 0.9071
Y 0.9364 0.8435 0.5000
Sc 0.2500 0.7500 0.5000
Sc 0.7500 0.2500 0.5000

Principal peaks in the range 10° ≤ 2θ ≤ 90°, by angle:
2θ 29.05, I = 975; 2θ 29.47, I = 485; 2θ 31.20, I = 1000; 2θ 33.04, I = 436; 2θ 38.30, I = 348; 2θ 43.87, I = 343



Starting from DFT lattice parameters and positions (PBE), the X-ray diffraction stick pattern of Pm4CoCu was simulated for Cu Kα, 1.54184 Å.
No peak broadening, texture or thermal motion is included.

Cell and atoms:
Cell lengths 6.2686, 4.0245, 7.4735 Å; angles 90.00, 112.42, 90.00 degrees
Positions (direct):
Pm 0.0000 0.0000 0.0000
Pm 0.0050 0.5000 0.4549
Pm 0.4963 0.5000 0.9845
Pm 0.5018 0.0000 0.4405
Co 0.7504 0.0000 0.2199
Cu 0.7517 0.5000 0.7200

Principal peaks in the range 10° ≤ 2θ ≤ 90°, by angle:
2θ 25.79, I = 327; 2θ 27.26, I = 617; 2θ 31.86, I = 490; 2θ 32.47, I = 1000; 2θ 42.69, I = 400; 2θ 49.38, I = 301



Starting from DFT lattice parameters and positions (PBE), the X-ray diffraction stick pattern of U2MnCo3Si4 was simulated for Cu Kα, 1.54184 Å.
No peak broadening, texture or thermal motion is included.

Cell and atoms:
Cell lengths 3.9409, 3.9409, 9.2235 Å; angles 90.00, 90.00, 90.00 degrees
Positions (direct):
U 0.0000 0.5000 0.2408
U 0.5000 0.0000 0.7592
Mn 0.5000 0.5000 0.0000
Co 0.0000 0.0000 0.0000
Co 0.0000 0.5000 0.6277
Co 0.5000 0.0000 0.3723
Si 0.0000 0.0000 0.5000
Si 0.0000 0.5000 0.8703
Si 0.5000 0.0000 0.1297
Si 0.5000 0.5000 0.5000

Principal peaks in the range 10° ≤ 2θ ≤ 90°, by angle:
2θ 24.56, I = 743; 2θ 32.12, I = 403; 2θ 37.09, I = 840; 2θ 37.72, I = 1000; 2θ 46.06, I = 459; 2θ 60.56, I = 409